# Na2HgAsF6
Theoretical PXRD pattern, Cu Kα (weighted mean of Kα1 and Kα2). Input: a DFT-relaxed cell (GGA-PBE, the Materials Project).
Peak positions follow from Bragg's law for the DFT cell and can differ from measured ones.

Principal peaks in the range 5° ≤ 2θ ≤ 70°, by intensity:
| hkl | 2θ (°) | intensity |
| --- | --- | --- |
| 2 0 0 | 19.4 | 1000 |
| 2 2 0 | 27.6 | 985 |
| 4 2 0 | 44.3 | 438 |
| 4 0 0 | 39.4 | 420 |
| 4 2 2 | 48.7 | 399 |
| 4 4 0 | 56.9 | 255 |

Atomic structure:
```
data_Na2HgAsF6
_cell_length_a 9.151
_cell_length_b 9.151
_cell_length_c 9.151
_cell_angle_alpha 90.00
_cell_angle_beta 90.00
_cell_angle_gamma 90.00
_space_group_name_H-M_alt 'F m -3 m'
_space_group_IT_number 225
_space_group_name_Hall '-F 4 2 3'
loop_
_atom_site_label
_atom_site_type_symbol
_atom_site_fract_x
_atom_site_fract_y
_atom_site_fract_z
Na1 Na 0.250 0.250 0.250
Hg1 Hg 0.000 0.000 0.000
As1 As 0.000 0.000 0.500
F1 F 0.000 0.000 0.280
```